For MgAg20Bi4O16, a cell relaxed with GGA-PBE gives the computed X-ray diffraction stick pattern in this record (Cu Kα X-rays).
No peak broadening, texture or thermal motion is included.

Main lines, in order of rising 2θ (2θ from 15° to 90°):
| two_theta | I (rel.) |
| --- | --- |
| 27.67 | 84 |
| 31.47 | 55 |
| 31.84 | 100 |
| 33.18 | 63 |
| 33.63 | 47 |
| 33.92 | 76 |
| 34.46 | 86 |
| 34.59 | 97 |
| 35.47 | 60 |
| 36.21 | 80 |

Atomic structure:
a b c (Å): 6.065 9.337 12.966
angles (deg): 84.16 88.13 86.97
Space group P1 (No. 1)
Symmetry-distinct sites (fractional):
1 Mg 0.000 0.000 0.000 [1 per cell]
2 Ag 0.085 0.828 0.800 [1 per cell]
3 Ag 0.123 0.558 0.201 [1 per cell]
4 Ag 0.135 0.465 0.668 [1 per cell]
5 Ag 0.139 0.523 0.909 [1 per cell]
6 Ag 0.170 0.129 0.515 [1 per cell]
7 Ag 0.175 0.524 0.438 [1 per cell]
8 Ag 0.350 0.189 0.797 [1 per cell]
9 Ag 0.379 0.711 0.031 [1 per cell]
10 Ag 0.386 0.761 0.533 [1 per cell]
11 Ag 0.433 0.306 0.324 [1 per cell]
12 Ag 0.592 0.935 0.117 [1 per cell]
13 Ag 0.604 0.937 0.905 [1 per cell]
14 Ag 0.607 0.662 0.334 [1 per cell]
15 Ag 0.611 0.011 0.409 [1 per cell]
16 Ag 0.626 0.977 0.651 [1 per cell]
17 Ag 0.780 0.370 0.012 [1 per cell]
18 Ag 0.852 0.187 0.800 [1 per cell]
19 Ag 0.867 0.718 0.033 [1 per cell]
20 Ag 0.888 0.759 0.533 [1 per cell]
21 Ag 0.929 0.306 0.316 [1 per cell]
22 Bi 0.122 0.907 0.287 [1 per cell]
23 Bi 0.303 0.227 0.094 [1 per cell]
24 Bi 0.607 0.598 0.778 [1 per cell]
25 Bi 0.664 0.358 0.561 [1 per cell]
26 O 0.032 0.684 0.324 [1 per cell]
27 O 0.114 0.042 0.856 [1 per cell]
28 O 0.134 0.907 0.465 [1 per cell]
29 O 0.139 0.857 0.107 [1 per cell]
30 O 0.204 0.184 0.255 [1 per cell]
31 O 0.225 0.451 0.070 [1 per cell]
32 O 0.304 0.344 0.549 [1 per cell]
33 O 0.481 0.885 0.287 [1 per cell]
34 O 0.502 0.827 0.767 [1 per cell]
35 O 0.595 0.331 0.741 [1 per cell]
36 O 0.639 0.614 0.597 [1 per cell]
37 O 0.641 0.574 0.958 [1 per cell]
38 O 0.669 0.432 0.384 [1 per cell]
39 O 0.739 0.128 0.529 [1 per cell]
40 O 0.970 0.612 0.768 [1 per cell]
41 O 0.978 0.184 0.058 [1 per cell]